# SrSmNiO4
Theoretical PXRD pattern, Cu Kα, 1.54184 Å. Input: a structure optimized by DFT (GGA+U).

Largest 8 diffraction maxima, by angle, 10 to 80 degrees two-theta:
| Position (°2θ) | Rel. int. |
| --- | --- |
| 24.46 | 17.2 |
| 31.99 | 100.0 |
| 33.20 | 37.4 |
| 33.36 | 37.0 |
| 43.63 | 20.5 |
| 47.77 | 38.1 |
| 58.55 | 18.3 |
| 58.76 | 18.1 |

Crystal structure
```
data_SrSmNiO4
_symmetry_space_group_name_H-M 'C m c m'
_symmetry_Int_Tables_number 63
_symmetry_space_group_name_Hall '-C 2c 2'
_cell_length_a 5.3725
_cell_length_b 12.3702
_cell_length_c 5.3975
_cell_angle_alpha 90.00
_cell_angle_beta 90.00
_cell_angle_gamma 90.00
loop_
_atom_site_label
_atom_site_type_symbol
_atom_site_fract_x
_atom_site_fract_y
_atom_site_fract_z
Sr1 Sr 0.0000 0.1050 0.2500
Sm1 Sm 0.0000 0.3848 0.2500
Ni1 Ni 0.0000 0.2503 0.7500
O1 O 0.0000 0.0893 0.7500
O2 O 0.0000 0.4280 0.7500
O3 O 0.2500 0.2500 0.0000
```